# Ga
Simulated powder XRD pattern, copper Kα. Input: a PBE-relaxed structure.
Lines closer than 0.1° are merged.

Principal peaks in the range 5° ≤ 2θ ≤ 70°, in order of rising 2θ:
| Position (°2θ) | d/Å | I/Imax |
| --- | --- | --- |
| 33.97 | 2.639 | 40 |
| 34.25 | 2.618 | 100 |
| 37.42 | 2.403 | 56 |
| 39.67 | 2.272 | 57 |
| 42.47 | 2.128 | 63 |
| 47.08 | 1.930 | 39 |

Crystal structure
```
Ga
1.0
4.571 2.639 5.817
-4.571 2.639 5.817
0.000 -5.278 5.817
Ga
22
Cartesian
0.000 0.000 0.000
-2.286 -1.320 5.817
-3.188 -1.841 8.499
0.000 -2.738 4.702
-2.371 1.369 4.702
0.000 -3.681 8.953
-3.188 1.841 8.953
0.000 -1.614 7.365
-1.397 0.807 7.365
-1.397 -0.807 10.087
-2.371 -1.369 12.750
-2.286 1.320 11.635
0.000 2.639 5.817
2.371 1.369 4.702
1.397 0.807 7.365
1.397 -0.807 10.087
0.000 1.614 10.087
3.188 -1.841 8.499
0.000 3.681 8.499
2.371 -1.369 12.750
0.000 2.738 12.750
3.188 1.841 8.953
```